1.
# Ce2ErTmSe6
Simulated X-ray diffraction stick pattern, Cu Kα, 1.54184 Å. Input: a PBE-relaxed structure.
Kinematic intensities with the Lorentz-polarization factor, no thermal factor.

Atomic structure:
a = 7.3369 Å, b = 7.3369 Å, c = 19.3721 Å
α = 90.00°, β = 90.00°, γ = 120.00°
Space group R3 (No. 146, hexagonal axes)
Asymmetric unit:
Ce1 0.0000 0.0000 0.0000
Ce2 0.0000 0.0000 0.4997
Er1 0.0000 0.0000 0.2011
Tm1 0.0000 0.0000 0.7008
Se1 0.0470 0.3530 0.7727
Se2 0.0474 0.6926 0.2729

Most intense lines, 5 to 70 degrees two-theta, sorted by position:
(0 1 2), 16.7 deg, I = 48
(1 0 4), 23.1 deg, I = 64
(2 -1 3), 28.0 deg, I = 63
(0 2 4), 33.7 deg, I = 50
(2 -1 6), 37.1 deg, I = 100
(3 0 0), 42.7 deg, I = 66

***

2.
# Ce2ErSi6
Simulated X-ray diffraction stick pattern, Cu Kα, 1.54184 Å. Input: a PBE-relaxed structure.
Kinematic intensities with the Lorentz-polarization factor, no thermal factor.

Atomic structure:
a = 7.0431 Å, b = 7.0431 Å, c = 4.0501 Å
α = 90.00°, β = 90.00°, γ = 120.00°
Space group P6/mmm (No. 191)
Asymmetric unit:
Ce1 0.3333 0.6667 0.0000
Er1 0.0000 0.0000 0.0000
Si1 0.0000 0.3324 0.5000

Most intense lines, 5 to 70 degrees two-theta, sorted by position:
(1 1 0), 25.3 deg, I = 47
(1 1 1), 33.7 deg, I = 100
(3 0 0), 44.6 deg, I = 31
(1 1 2), 52.1 deg, I = 14
(2 2 1), 57.0 deg, I = 22
(3 0 2), 65.0 deg, I = 20

***

3.
# CeEr2Si6
Simulated X-ray diffraction stick pattern, Cu Kα, 1.54184 Å. Input: a PBE-relaxed structure.
Kinematic intensities with the Lorentz-polarization factor, no thermal factor.

Atomic structure:
a = 7.0589 Å, b = 7.0589 Å, c = 3.9593 Å
α = 90.00°, β = 90.00°, γ = 120.00°
Space group P6/mmm (No. 191)
Asymmetric unit:
Ce1 0.0000 0.0000 0.0000
Er1 0.3333 0.6667 0.0000
Si1 0.0000 0.3347 0.5000

Most intense lines, 5 to 70 degrees two-theta, sorted by position:
(1 1 0), 25.2 deg, I = 50
(1 1 1), 34.0 deg, I = 100
(3 0 0), 44.5 deg, I = 31
(1 1 2), 53.0 deg, I = 14
(2 2 1), 57.1 deg, I = 22
(3 0 2), 65.8 deg, I = 19

***

4.
# CeSm4Er5
Simulated X-ray diffraction stick pattern, Cu Kα, 1.54184 Å. Input: a PBE-relaxed structure.
Kinematic intensities with the Lorentz-polarization factor, no thermal factor.

Atomic structure:
a = 10.5352 Å, b = 10.5352 Å, c = 5.9002 Å
α = 90.00°, β = 90.00°, γ = 90.00°
Space group I4mm (No. 107)
Asymmetric unit:
Ce1 0.0000 0.0000 0.0000
Sm1 0.0000 0.3239 0.7580
Er1 0.0000 0.0000 0.5329
Er2 0.1865 0.1865 0.2567

Most intense lines, 5 to 70 degrees two-theta, sorted by position:
(3 0 1), 29.6 deg, I = 100
(0 0 2), 30.3 deg, I = 14
(2 0 2), 34.9 deg, I = 17
(3 3 0), 36.2 deg, I = 41
(3 0 3), 53.4 deg, I = 16
(6 3 1), 61.1 deg, I = 19

***

5.
# CeSm2Er3
Simulated X-ray diffraction stick pattern, Cu Kα, 1.54184 Å. Input: a PBE-relaxed structure.
Kinematic intensities with the Lorentz-polarization factor, no thermal factor.

Atomic structure:
a = 19.9604 Å, b = 3.4828 Å, c = 12.9765 Å
α = 90.00°, β = 120.96°, γ = 90.00°
Space group C2/m (No. 12)
Asymmetric unit:
Ce1 0.0987 0.0000 0.1432
Sm1 0.0807 0.0000 0.8672
Sm2 0.0806 0.5000 0.3647
Er1 0.0996 0.5000 0.6454
Er2 0.2411 0.0000 0.6122
Er3 0.2426 0.5000 0.1127

Most intense lines, 5 to 70 degrees two-theta, sorted by position:
(1 1 1), 28.1 deg, I = 40
(6 0 -4), 31.3 deg, I = 100
(0 0 4), 32.2 deg, I = 44
(1 1 -3), 33.8 deg, I = 53
(5 1 -1), 34.6 deg, I = 53
(11 1 -1), 61.8 deg, I = 28

***

6.
# CeSm6Er10
Simulated X-ray diffraction stick pattern, Cu Kα, 1.54184 Å. Input: a PBE-relaxed structure.
Kinematic intensities with the Lorentz-polarization factor, no thermal factor.

Atomic structure:
a = 9.6191 Å, b = 9.6191 Å, c = 6.8427 Å
α = 90.00°, β = 90.00°, γ = 120.00°
Space group P-31m (No. 162)
Asymmetric unit:
Ce1 0.0000 0.0000 0.0000
Sm1 0.0000 0.3793 0.2002
Er1 0.0000 0.2720 0.6821
Er2 0.3333 0.6667 0.0000
Er3 0.3333 0.6667 0.5000

Most intense lines, 5 to 70 degrees two-theta, sorted by position:
(2 1 1), 31.3 deg, I = 50
(2 -1 2), 32.1 deg, I = 100
(3 0 0), 32.2 deg, I = 73
(2 2 2), 46.1 deg, I = 24
(1 1 4), 57.2 deg, I = 17
(5 -1 2), 57.4 deg, I = 20

***

7.
# CeSm3Er3
Simulated X-ray diffraction stick pattern, Cu Kα, 1.54184 Å. Input: a PBE-relaxed structure.
Kinematic intensities with the Lorentz-polarization factor, no thermal factor.

Atomic structure:
a = 11.3456 Å, b = 11.4709 Å, c = 7.1300 Å
α = 90.00°, β = 90.00°, γ = 90.00°
Space group Cmmm (No. 65)
Asymmetric unit:
Ce1 0.0000 0.2062 0.0000
Sm1 0.0000 0.5000 0.2501
Sm2 0.2500 0.2500 0.2457
Er1 0.0000 0.2188 0.5000
Er2 0.2089 0.0000 0.5000
Er3 0.2186 0.0000 0.0000

Most intense lines, 5 to 70 degrees two-theta, sorted by position:
(0 4 0), 31.2 deg, I = 27
(4 0 0), 31.5 deg, I = 26
(3 3 0), 33.3 deg, I = 15
(2 2 2), 33.5 deg, I = 100
(4 4 0), 45.0 deg, I = 15
(2 6 2), 57.0 deg, I = 15

***

8.
# CeSm3Er4
Simulated X-ray diffraction stick pattern, Cu Kα, 1.54184 Å. Input: a PBE-relaxed structure.
Kinematic intensities with the Lorentz-polarization factor, no thermal factor.

Atomic structure:
a = 6.1656 Å, b = 3.5554 Å, c = 11.7125 Å
α = 90.00°, β = 100.16°, γ = 90.00°
Space group P2/m (No. 10)
Asymmetric unit:
Ce1 0.0000 0.0000 0.0000
Sm1 0.0000 0.5000 0.5000
Sm2 0.5000 0.0000 0.5000
Sm3 0.5000 0.5000 0.0000
Er1 0.2461 0.5000 0.2472
Er2 0.2468 0.0000 0.7510

Most intense lines, 5 to 70 degrees two-theta, sorted by position:
(1 1 1), 30.8 deg, I = 100
(0 0 4), 31.0 deg, I = 33
(2 0 2), 35.8 deg, I = 67
(0 2 0), 51.4 deg, I = 24
(1 1 5), 51.7 deg, I = 24
(0 2 4), 61.2 deg, I = 28